# Cd2Pt9W
Theoretical powder X-ray diffraction pattern, Cu Kα (weighted mean of Kα1 and Kα2). Input: a DFT-relaxed cell (GGA-PBE, Alexandria).
No peak broadening, texture or thermal motion is included.

a b c (Å): 4.012 4.012 12.067
angles (deg): 90.00 90.00 90.00
Positions (direct):
Cd 0.000 0.000 0.167
Cd 0.000 0.000 0.833
Pt 0.000 0.500 0.000
Pt 0.000 0.500 0.344
Pt 0.000 0.500 0.656
Pt 0.500 0.000 0.000
Pt 0.500 0.000 0.344
Pt 0.500 0.000 0.656
Pt 0.500 0.500 0.171
Pt 0.500 0.500 0.500
Pt 0.500 0.500 0.829
W 0.000 0.000 0.500

The 10 most intense peaks (5 to 70 degrees two-theta), by intensity:
- (1 1 3), 2θ = 38.8°, rel. 100
- (2 0 0), 2θ = 45.2°, rel. 33
- (2 2 0), 2θ = 65.8°, rel. 31
- (0 0 6), 2θ = 45.1°, rel. 16
- (0 0 1), 2θ = 7.3°, rel. 4
- (1 0 0), 2θ = 22.1°, rel. 2
- (1 1 0), 2θ = 31.5°, rel. 2
- (1 1 4), 2θ = 43.8°, rel. 1
- (0 0 2), 2θ = 14.7°, rel. 1
- (1 1 5), 2θ = 49.6°, rel. 1